Computed X-ray powder pattern
Compound: Tb6PmNd5
Radiation: Cu Kα
Structure: a DFT-relaxed cell (GGA-PBE, Alexandria)

Structural model:
```
data_Tb6PmNd5
_cell_length_a 9.5705
_cell_length_b 9.5705
_cell_length_c 9.5705
_cell_angle_alpha 148.93
_cell_angle_beta 115.64
_cell_angle_gamma 73.18
_space_group_name_H-M_alt 'P 1'
_space_group_IT_number 1
_space_group_name_Hall 'P 1'
loop_
_atom_site_label
_atom_site_type_symbol
_atom_site_fract_x
_atom_site_fract_y
_atom_site_fract_z
Tb1 Tb 0.0836 0.3334 0.7502
Tb2 Tb 0.2503 0.0000 0.2503
Tb3 Tb 0.4168 0.6666 0.7502
Tb4 Tb 0.5832 0.3334 0.2498
Tb5 Tb 0.7497 0.0000 0.7497
Tb6 Tb 0.9164 0.6666 0.2498
Pm1 Pm 0.5000 0.5000 0.0000
Nd1 Nd 0.0000 0.5000 0.5000
Nd2 Nd 0.1667 0.1667 0.0000
Nd3 Nd 0.3337 0.8337 0.5000
Nd4 Nd 0.6663 0.1663 0.5000
Nd5 Nd 0.8333 0.8333 0.0000
```

Most intense lines, 5° ≤ 2θ ≤ 70°, low angle first:
2θ (°)  d_spacing  intensity
30.26  2.953  1000
35.02  2.562  340
35.22  2.548  167
50.37  1.812  121
50.51  1.807  241
59.89  1.544  289
60.15  1.538  142
62.94  1.477  124

***

Computed X-ray powder pattern
Compound: Tb5PmNd4
Radiation: Cu Kα
Structure: a DFT-relaxed cell (GGA-PBE, Alexandria)

Structural model:
```
data_Tb5PmNd4
_cell_length_a 8.7952
_cell_length_b 8.7952
_cell_length_c 11.1044
_cell_angle_alpha 95.59
_cell_angle_beta 95.59
_cell_angle_gamma 23.89
_space_group_name_H-M_alt 'P 1'
_space_group_IT_number 1
_space_group_name_Hall 'P 1'
loop_
_atom_site_label
_atom_site_type_symbol
_atom_site_fract_x
_atom_site_fract_y
_atom_site_fract_z
Tb1 Tb 0.0000 0.0000 0.0000
Tb2 Tb 0.2044 0.2044 0.3684
Tb3 Tb 0.3227 0.3227 0.9371
Tb4 Tb 0.6773 0.6773 0.0629
Tb5 Tb 0.7956 0.7956 0.6316
Pm1 Pm 0.0000 0.0000 0.5000
Nd1 Nd 0.1416 0.1416 0.7672
Nd2 Nd 0.4594 0.4594 0.7441
Nd3 Nd 0.5406 0.5406 0.2559
Nd4 Nd 0.8584 0.8584 0.2328
```

Most intense lines, 5° ≤ 2θ ≤ 70°, low angle first:
2θ (°)  d_spacing  intensity
27.29  3.267  245
30.14  2.965  574
30.64  2.917  616
31.34  2.854  245
31.59  2.832  401
32.61  2.746  1000
33.07  2.709  438
33.64  2.664  300
34.17  2.624  337
48.96  1.860  226

***

Computed X-ray powder pattern
Compound: TbPm3Nd12
Radiation: Cu Kα
Structure: a DFT-relaxed cell (GGA-PBE, Alexandria)

Structural model:
```
data_TbPm3Nd12
_cell_length_a 5.1865
_cell_length_b 5.1865
_cell_length_c 20.7207
_cell_angle_alpha 90.00
_cell_angle_beta 90.00
_cell_angle_gamma 90.00
_space_group_name_H-M_alt 'P 1'
_space_group_IT_number 1
_space_group_name_Hall 'P 1'
loop_
_atom_site_label
_atom_site_type_symbol
_atom_site_fract_x
_atom_site_fract_y
_atom_site_fract_z
Tb1 Tb 0.0000 0.0000 0.0000
Pm1 Pm 0.0000 0.0000 0.2492
Pm2 Pm 0.0000 0.0000 0.5000
Pm3 Pm 0.0000 0.0000 0.7508
Nd1 Nd 0.0000 0.5000 0.1239
Nd2 Nd 0.0000 0.5000 0.3746
Nd3 Nd 0.0000 0.5000 0.6254
Nd4 Nd 0.0000 0.5000 0.8761
Nd5 Nd 0.5000 0.0000 0.1239
Nd6 Nd 0.5000 0.0000 0.3746
Nd7 Nd 0.5000 0.0000 0.6254
Nd8 Nd 0.5000 0.0000 0.8761
Nd9 Nd 0.5000 0.5000 0.0000
Nd10 Nd 0.5000 0.5000 0.2490
Nd11 Nd 0.5000 0.5000 0.5000
Nd12 Nd 0.5000 0.5000 0.7510
```

Most intense lines, 5° ≤ 2θ ≤ 70°, low angle first:
2θ (°)  d_spacing  intensity
29.85  2.993  1000
34.60  2.592  507
49.74  1.833  363
59.10  1.563  433
62.01  1.497  125

***

Computed X-ray powder pattern
Compound: TbPm5Nd4
Radiation: Cu Kα
Structure: a DFT-relaxed cell (GGA-PBE, Alexandria)

Structural model:
```
data_TbPm5Nd4
_cell_length_a 10.8394
_cell_length_b 10.8394
_cell_length_c 5.8697
_cell_angle_alpha 90.00
_cell_angle_beta 90.00
_cell_angle_gamma 90.00
_space_group_name_H-M_alt 'P 1'
_space_group_IT_number 1
_space_group_name_Hall 'P 1'
loop_
_atom_site_label
_atom_site_type_symbol
_atom_site_fract_x
_atom_site_fract_y
_atom_site_fract_z
Tb1 Tb 0.2500 0.2500 0.1373
Tb2 Tb 0.7500 0.7500 0.8627
Pm1 Pm 0.0880 0.0880 0.6661
Pm2 Pm 0.0880 0.4120 0.6661
Pm3 Pm 0.2500 0.7500 0.5000
Pm4 Pm 0.4120 0.0880 0.6661
Pm5 Pm 0.4120 0.4120 0.6661
Pm6 Pm 0.5880 0.5880 0.3339
Pm7 Pm 0.5880 0.9120 0.3339
Pm8 Pm 0.7500 0.2500 0.5000
Pm9 Pm 0.9120 0.5880 0.3339
Pm10 Pm 0.9120 0.9120 0.3339
Nd1 Nd 0.0449 0.7500 0.8671
Nd2 Nd 0.2500 0.5449 0.1329
Nd3 Nd 0.2500 0.9551 0.1329
Nd4 Nd 0.4551 0.7500 0.8671
Nd5 Nd 0.5449 0.2500 0.1329
Nd6 Nd 0.7500 0.0449 0.8671
Nd7 Nd 0.7500 0.4551 0.8671
Nd8 Nd 0.9551 0.2500 0.1329
```

Most intense lines, 5° ≤ 2θ ≤ 70°, low angle first:
2θ (°)  d_spacing  intensity
27.80  3.209  208
29.02  3.077  1000
30.19  2.960  443
31.58  2.833  320
35.13  2.555  318
50.52  1.807  157
52.48  1.744  279
58.15  1.586  131
59.32  1.558  172
68.51  1.370  116

***

Computed X-ray powder pattern
Compound: TbPm8Nd6
Radiation: Cu Kα
Structure: a DFT-relaxed cell (GGA-PBE, Alexandria)

Structural model:
```
data_TbPm8Nd6
_cell_length_a 9.5599
_cell_length_b 9.5599
_cell_length_c 6.6922
_cell_angle_alpha 90.00
_cell_angle_beta 90.00
_cell_angle_gamma 120.00
_space_group_name_H-M_alt 'P 1'
_space_group_IT_number 1
_space_group_name_Hall 'P 1'
loop_
_atom_site_label
_atom_site_type_symbol
_atom_site_fract_x
_atom_site_fract_y
_atom_site_fract_z
Tb1 Tb 0.0000 0.0000 0.0000
Pm1 Pm 0.0289 0.7481 0.6639
Pm2 Pm 0.2519 0.2808 0.6639
Pm3 Pm 0.2808 0.0289 0.3361
Pm4 Pm 0.3333 0.6667 0.6117
Pm5 Pm 0.6667 0.3333 0.3883
Pm6 Pm 0.7192 0.9711 0.6639
Pm7 Pm 0.7481 0.7192 0.3361
Pm8 Pm 0.9711 0.2519 0.3361
Nd1 Nd 0.0845 0.6521 0.1610
Nd2 Nd 0.3479 0.4324 0.1610
Nd3 Nd 0.4324 0.0845 0.8390
Nd4 Nd 0.5676 0.9155 0.1610
Nd5 Nd 0.6521 0.5676 0.8390
Nd6 Nd 0.9155 0.3479 0.8390
```

Most intense lines, 5° ≤ 2θ ≤ 70°, low angle first:
2θ (°)  d_spacing  intensity
25.30  3.520  293
28.52  3.129  264
28.78  3.102  200
31.56  2.835  1000
32.44  2.760  273
32.67  2.741  621
49.91  1.827  217
50.52  1.807  130
61.07  1.517  118
64.16  1.452  125

***

Computed X-ray powder pattern
Compound: Tb5Pm4Nd
Radiation: Cu Kα
Structure: a DFT-relaxed cell (GGA-PBE, Alexandria)

Structural model:
```
data_Tb5Pm4Nd
_cell_length_a 13.0035
_cell_length_b 13.0035
_cell_length_c 7.2139
_cell_angle_alpha 97.98
_cell_angle_beta 97.98
_cell_angle_gamma 15.97
_space_group_name_H-M_alt 'P 1'
_space_group_IT_number 1
_space_group_name_Hall 'P 1'
loop_
_atom_site_label
_atom_site_type_symbol
_atom_site_fract_x
_atom_site_fract_y
_atom_site_fract_z
Tb1 Tb 0.0000 0.0000 0.0000
Tb2 Tb 0.2011 0.2011 0.1003
Tb3 Tb 0.2012 0.2012 0.6008
Tb4 Tb 0.7988 0.7988 0.3992
Tb5 Tb 0.7989 0.7989 0.8997
Pm1 Pm 0.3987 0.3987 0.1978
Pm2 Pm 0.3987 0.3987 0.7005
Pm3 Pm 0.6013 0.6013 0.2995
Pm4 Pm 0.6013 0.6013 0.8022
Nd1 Nd 0.0000 0.0000 0.5000
```

Most intense lines, 5° ≤ 2θ ≤ 70°, low angle first:
2θ (°)  d_spacing  intensity
30.33  2.946  1000
35.17  2.552  506
50.59  1.804  361
60.13  1.539  429
63.11  1.473  124

***

Computed X-ray powder pattern
Compound: Tb3Pm7Nd2
Radiation: Cu Kα
Structure: a DFT-relaxed cell (GGA-PBE, Alexandria)

Structural model:
```
data_Tb3Pm7Nd2
_cell_length_a 6.4717
_cell_length_b 3.5799
_cell_length_c 17.7592
_cell_angle_alpha 90.00
_cell_angle_beta 95.98
_cell_angle_gamma 90.00
_space_group_name_H-M_alt 'P 1'
_space_group_IT_number 1
_space_group_name_Hall 'P 1'
loop_
_atom_site_label
_atom_site_type_symbol
_atom_site_fract_x
_atom_site_fract_y
_atom_site_fract_z
Tb1 Tb 0.0000 0.0000 0.0000
Tb2 Tb 0.0470 0.5000 0.6594
Tb3 Tb 0.9530 0.5000 0.3406
Pm1 Pm 0.2237 0.5000 0.1648
Pm2 Pm 0.2425 0.0000 0.5027
Pm3 Pm 0.2731 0.0000 0.8314
Pm4 Pm 0.5000 0.5000 0.0000
Pm5 Pm 0.7269 0.0000 0.1686
Pm6 Pm 0.7575 0.0000 0.4973
Pm7 Pm 0.7763 0.5000 0.8352
Nd1 Nd 0.4416 0.0000 0.3292
Nd2 Nd 0.5584 0.0000 0.6708
```

Most intense lines, 5° ≤ 2θ ≤ 70°, low angle first:
2θ (°)  d_spacing  intensity
29.24  3.055  584
30.23  2.956  815
30.36  2.944  965
30.80  2.903  1000
33.08  2.708  674
34.28  2.616  820
49.33  1.847  379
51.02  1.790  257
60.46  1.531  229
60.54  1.529  272

***

Computed X-ray powder pattern
Compound: Tb2Pm5NdTh
Radiation: Cu Kα
Structure: a DFT-relaxed cell (GGA-PBE, Alexandria)

Structural model:
```
data_Tb2Pm5NdTh
_cell_length_a 10.6155
_cell_length_b 10.6155
_cell_length_c 10.5679
_cell_angle_alpha 90.00
_cell_angle_beta 90.00
_cell_angle_gamma 148.74
_space_group_name_H-M_alt 'P 1'
_space_group_IT_number 1
_space_group_name_Hall 'P 1'
loop_
_atom_site_label
_atom_site_type_symbol
_atom_site_fract_x
_atom_site_fract_y
_atom_site_fract_z
Tb1 Tb 0.1141 0.8859 0.5000
Tb2 Tb 0.1160 0.8840 0.9131
Tb3 Tb 0.8840 0.1160 0.4131
Tb4 Tb 0.8859 0.1141 0.0000
Pm1 Pm 0.0159 0.9841 0.2105
Pm2 Pm 0.2766 0.7234 0.9180
Pm3 Pm 0.2943 0.7057 0.5277
Pm4 Pm 0.3885 0.6115 0.2060
Pm5 Pm 0.4777 0.5223 0.4921
Pm6 Pm 0.5223 0.4777 0.9921
Pm7 Pm 0.6115 0.3885 0.7060
Pm8 Pm 0.7057 0.2943 0.0277
Pm9 Pm 0.7234 0.2766 0.4180
Pm10 Pm 0.9841 0.0159 0.7105
Nd1 Nd 0.4104 0.5896 0.7846
Nd2 Nd 0.5896 0.4104 0.2846
Th1 Th 0.1994 0.8006 0.2198
Th2 Th 0.8006 0.1994 0.7198
```

Most intense lines, 5° ≤ 2θ ≤ 70°, low angle first:
2θ (°)  d_spacing  intensity
27.50  3.243  205
30.11  2.968  456
31.27  2.861  435
31.79  2.815  1000
33.93  2.642  112
42.12  2.145  132
50.83  1.796  120
55.98  1.643  204
58.42  1.580  151
60.90  1.521  139